No. 1
For LiSc4Fe4O12, the PBE+U geometry in the Materials Project gives the computed powder diffractogram in this record (Cu Kα (λ = 1.5418 Å)).
No peak broadening, texture or thermal motion is included.

Structural model:
a = 5.135 Å, b = 5.519 Å, c = 7.862 Å
α = 89.60°, β = 88.20°, γ = 88.54°
Space group P1 (No. 1)
Unique sites:
Li1 0.000 0.000 0.000 [1 per cell]
Sc1 0.052 0.223 0.451 [1 per cell]
Sc2 0.120 0.403 0.971 [1 per cell]
Sc3 0.525 0.853 0.964 [1 per cell]
Sc4 0.613 0.714 0.459 [1 per cell]
Fe1 0.072 0.784 0.698 [1 per cell]
Fe2 0.088 0.768 0.251 [1 per cell]
Fe3 0.572 0.276 0.212 [1 per cell]
Fe4 0.576 0.282 0.712 [1 per cell]
O1 0.244 0.868 0.478 [1 per cell]
O2 0.254 0.110 0.146 [1 per cell]
O3 0.261 0.088 0.809 [1 per cell]
O4 0.376 0.589 0.792 [1 per cell]
O5 0.383 0.589 0.129 [1 per cell]
O6 0.419 0.362 0.464 [1 per cell]
O7 0.729 0.214 0.957 [1 per cell]
O8 0.749 0.959 0.273 [1 per cell]
O9 0.771 0.989 0.620 [1 per cell]
O10 0.876 0.458 0.279 [1 per cell]
O11 0.877 0.485 0.618 [1 per cell]
O12 0.899 0.712 0.934 [1 per cell]

The 10 most intense peaks (2θ = 10–90°), low angle first:
- (1 1 2), d = 2.772 Å, 2θ 32.3, I 100
- (0 2 0), d = 2.758 Å, 2θ 32.5, I 61
- (1 -1 2), d = 2.723 Å, 2θ 32.9, I 96
- (1 1 -2), d = 2.697 Å, 2θ 33.2, I 92
- (-1 1 2), d = 2.673 Å, 2θ 33.5, I 88
- (2 0 0), d = 2.566 Å, 2θ 35.0, I 50
- (0 0 4), d = 1.965 Å, 2θ 46.2, I 48
- (2 2 0), d = 1.903 Å, 2θ 47.8, I 48
- (2 -2 0), d = 1.855 Å, 2θ 49.1, I 32
- (2 0 -4), d = 1.536 Å, 2θ 60.2, I 39



No. 2
For Li4ScFe3Si8O24, the PBE+U geometry in the Materials Project gives the computed powder diffractogram in this record (Cu Kα (λ = 1.5418 Å)).
No peak broadening, texture or thermal motion is included.

Structural model:
a = 5.375 Å, b = 8.854 Å, c = 9.436 Å
α = 90.00°, β = 101.85°, γ = 90.00°
Space group P2 (No. 3)
Unique sites:
Li1 0.000 0.000 0.000 [1 per cell]
Li2 0.000 0.016 0.500 [1 per cell]
Li3 0.500 0.498 0.500 [1 per cell]
Li4 0.500 0.514 0.000 [1 per cell]
Sc1 0.000 0.655 0.500 [1 per cell]
Fe1 0.000 0.360 0.000 [1 per cell]
Fe2 0.500 0.154 0.000 [1 per cell]
Fe3 0.500 0.862 0.500 [1 per cell]
Si1 0.222 0.343 0.706 [2 per cell]
Si2 0.222 0.668 0.202 [2 per cell]
Si3 0.279 0.168 0.296 [2 per cell]
Si4 0.281 0.847 0.797 [2 per cell]
O1 0.050 0.256 0.354 [2 per cell]
O2 0.050 0.758 0.853 [2 per cell]
O3 0.210 0.502 0.130 [2 per cell]
O4 0.215 0.509 0.634 [2 per cell]
O5 0.217 0.172 0.116 [2 per cell]
O6 0.222 0.846 0.618 [2 per cell]
O7 0.283 0.340 0.885 [2 per cell]
O8 0.288 0.002 0.369 [2 per cell]
O9 0.290 0.013 0.870 [2 per cell]
O10 0.291 0.673 0.381 [2 per cell]
O11 0.450 0.256 0.646 [2 per cell]
O12 0.450 0.757 0.144 [2 per cell]

The 10 most intense peaks (2θ = 10–90°), low angle first:
- (0 1 1), d = 6.391 Å, 2θ 13.9, I 46
- (1 1 0), d = 4.522 Å, 2θ 19.6, I 32
- (0 2 0), d = 4.427 Å, 2θ 20.1, I 29
- (1 1 -2), d = 3.560 Å, 2θ 25.0, I 36
- (1 2 1), d = 3.052 Å, 2θ 29.3, I 100
- (0 1 3), d = 2.908 Å, 2θ 30.8, I 60
- (2 0 -2), d = 2.519 Å, 2θ 35.6, I 31
- (1 2 -3), d = 2.445 Å, 2θ 36.8, I 23
- (3 2 -1), d = 1.661 Å, 2θ 55.3, I 27
- (1 3 4), d = 1.639 Å, 2θ 56.1, I 17



No. 3
For Li2ScFeSi4O12, the PBE+U geometry in the Materials Project gives the computed powder diffractogram in this record (Cu Kα (λ = 1.5418 Å)).
No peak broadening, texture or thermal motion is included.

Structural model:
a = 9.907 Å, b = 8.921 Å, c = 5.391 Å
α = 90.00°, β = 110.64°, γ = 90.00°
Space group C2 (No. 5)
Unique sites:
Li1 0.000 0.000 0.000 [2 per cell]
Li2 0.000 0.498 0.500 [2 per cell]
Sc1 0.000 0.644 0.000 [2 per cell]
Fe1 0.000 0.854 0.500 [2 per cell]
Si1 0.203 0.157 0.475 [4 per cell]
Si2 0.204 0.334 0.979 [4 per cell]
O1 0.117 0.835 0.896 [4 per cell]
O2 0.119 0.662 0.412 [4 per cell]
O3 0.128 0.993 0.412 [4 per cell]
O4 0.130 0.497 0.912 [4 per cell]
O5 0.145 0.246 0.189 [4 per cell]
O6 0.150 0.243 0.694 [4 per cell]

The 10 most intense peaks (2θ = 10–90°), low angle first:
- (1 1 0), d = 6.428 Å, 2θ 13.8, I 40
- (1 1 -1), d = 4.545 Å, 2θ 19.5, I 28
- (0 2 0), d = 4.460 Å, 2θ 19.9, I 27
- (1 1 1), d = 3.568 Å, 2θ 25.0, I 38
- (2 2 -1), d = 3.072 Å, 2θ 29.1, I 100
- (3 1 0), d = 2.920 Å, 2θ 30.6, I 60
- (0 0 2), d = 2.523 Å, 2θ 35.6, I 30
- (2 2 1), d = 2.453 Å, 2θ 36.6, I 21
- (3 3 -1), d = 2.173 Å, 2θ 41.6, I 31
- (2 2 -3), d = 1.667 Å, 2θ 55.1, I 19



No. 4
For LiFeSi3O8, the PBE+U geometry in the Materials Project gives the computed powder diffractogram in this record (Cu Kα (λ = 1.5418 Å)).
No peak broadening, texture or thermal motion is included.

Structural model:
a = 7.110 Å, b = 7.115 Å, c = 7.719 Å
α = 116.65°, β = 107.15°, γ = 98.38°
Space group P-1 (No. 2)
Unique sites:
Li1 0.148 0.016 0.318 [2 per cell]
Fe1 0.433 0.059 0.704 [2 per cell]
Si1 0.175 0.568 0.324 [2 per cell]
Si2 0.268 0.480 0.711 [2 per cell]
Si3 0.316 0.172 0.051 [2 per cell]
O1 0.070 0.459 0.773 [2 per cell]
O2 0.200 0.004 0.795 [2 per cell]
O3 0.204 0.359 0.139 [2 per cell]
O4 0.233 0.550 0.534 [2 per cell]
O5 0.307 0.818 0.392 [2 per cell]
O6 0.319 0.250 0.622 [2 per cell]
O7 0.352 0.056 0.192 [2 per cell]
O8 0.461 0.688 0.932 [2 per cell]

The 10 most intense peaks (2θ = 10–90°), low angle first:
- (1 0 0), d = 6.424 Å, 2θ 13.8, I 100
- (1 -1 1), d = 4.348 Å, 2θ 20.4, I 38
- (1 1 0), d = 3.814 Å, 2θ 23.3, I 97
- (0 1 -2), d = 3.688 Å, 2θ 24.1, I 34
- (1 -2 1), d = 3.304 Å, 2θ 27.0, I 52
- (0 0 2), d = 3.149 Å, 2θ 28.3, I 43
- (0 2 -2), d = 3.137 Å, 2θ 28.5, I 50
- (2 1 -2), d = 2.844 Å, 2θ 31.5, I 36
- (-1 1 2), d = 2.577 Å, 2θ 34.8, I 39
- (-4 1 1), d = 1.766 Å, 2θ 51.8, I 35



No. 5
For LiFeSiO4, the PBE+U geometry in the Materials Project gives the computed powder diffractogram in this record (Cu Kα (λ = 1.5418 Å)).
No peak broadening, texture or thermal motion is included.

Structural model:
a = 6.670 Å, b = 5.045 Å, c = 12.054 Å
α = 90.00°, β = 122.92°, γ = 90.00°
Space group P2_1/c (No. 14)
Unique sites:
Li1 0.160 0.163 0.149 [4 per cell]
Fe1 0.335 0.665 0.332 [4 per cell]
Si1 0.333 0.661 0.078 [4 per cell]
O1 0.177 0.749 0.421 [4 per cell]
O2 0.195 0.735 0.650 [4 per cell]
O3 0.364 0.163 0.591 [4 per cell]
O4 0.395 0.205 0.844 [4 per cell]

The 10 most intense peaks (2θ = 10–90°), low angle first:
- (1 0 0), d = 5.599 Å, 2θ 15.8, I 75
- (1 1 -1), d = 4.023 Å, 2θ 22.1, I 18
- (1 1 0), d = 3.748 Å, 2θ 23.7, I 100
- (1 1 1), d = 3.160 Å, 2θ 28.2, I 15
- (1 0 -4), d = 2.996 Å, 2θ 29.8, I 39
- (2 0 0), d = 2.801 Å, 2θ 31.9, I 32
- (2 0 -4), d = 2.769 Å, 2θ 32.3, I 27
- (0 0 4), d = 2.530 Å, 2θ 35.5, I 24
- (0 2 0), d = 2.522 Å, 2θ 35.6, I 31
- (4 0 -4), d = 1.667 Å, 2θ 55.1, I 15